Calculated powder diffraction line list of Pm5Pr2Ho12 for a wavelength of 1.5418 Å, from DFT lattice parameters and positions (PBE).
Lines closer than 0.1° are merged.

Largest 6 diffraction maxima, low angle first, 10 to 90 degrees two-theta:
Position (°2θ)  Rel. int.  index
31.0  100  2 -2 1
31.1  89  0 1 -4
31.7  100  0 2 2
33.4  61  -2 1 3
34.2  53  0 3 -2
34.7  32  2 0 2

Crystal structure
Cell lengths 7.021, 8.272, 11.700 Å; angles 102.68, 99.70, 104.36 degrees
Space group P-1 (No. 2)
Asymmetric unit:
Pm (0.000, 0.000, 0.000) x1
Pm (0.268, 0.687, 0.918) x2
Pm (0.387, 0.607, 0.402) x2
Pr (0.243, 0.984, 0.503) x2
Ho (0.011, 0.200, 0.304) x2
Ho (0.109, 0.753, 0.191) x2
Ho (0.139, 0.428, 0.614) x2
Ho (0.264, 0.407, 0.093) x2
Ho (0.365, 0.206, 0.815) x2
Ho (0.476, 0.165, 0.282) x2